(1)
The following is a simulated powder diffraction line list of SrMg6Sb. It was derived from a cell relaxed with PBE, using Cu Ka.
Peak positions follow from Bragg's law for the DFT cell and can differ from measured ones.

Top 12 peaks for 15° ≤ 2θ ≤ 90°, sorted by position:
d 3.918, I 20
d 3.876, I 23
d 3.477, I 11
d 2.986, I 18
d 2.840, I 24
d 2.590, I 100
d 2.541, I 34
d 2.380, I 11
d 1.959, I 11
d 1.696, I 13
d 1.497, I 13
d 1.420, I 14

Structural model:
```
SrMg6Sb
1.0
5.1902 0.0000 0.0000
0.0000 3.4773 5.8288
0.0000 -3.4773 5.8288
Sr Mg Sb
1 6 1
Direct
0.0000 0.0000 0.0000
0.0000 0.0031 0.4967
0.0000 0.4967 0.0031
0.0000 0.5110 0.5110
0.5000 0.3398 0.3398
0.5000 0.3740 0.8207
0.5000 0.8207 0.3740
0.5000 0.8274 0.8274
```


(2)
The following is a simulated powder diffraction line list of NdMn6Sn6. It was derived from a cell relaxed with PBE, using Cu Ka.
Peak positions follow from Bragg's law for the DFT cell and can differ from measured ones.

Top 12 peaks for 15° ≤ 2θ ≤ 90°, sorted by position:
d 2.748, I 100
d 2.601, I 14
d 2.380, I 27
d 2.349, I 88
d 2.263, I 23
d 2.106, I 49
d 2.044, I 18
d 1.747, I 14
d 1.587, I 13
d 1.498, I 14
d 1.373, I 21
d 1.323, I 36

Structural model:
```
NdMn6Sn6
1.0
5.5027 0.0000 0.0000
-0.0007 9.0527 0.0000
-2.7488 -4.5215 14.2604
Nd Mn Sn
3 18 18
Direct
0.0000 0.0000 0.0000
0.3303 0.8294 0.6604
0.6693 0.1684 0.3383
0.0004 0.5005 0.4995
0.1643 0.1640 0.8329
0.1653 0.6666 0.8318
0.1664 0.4144 0.3333
0.1656 0.9179 0.3335
0.3315 0.3305 0.1666
0.3317 0.8348 0.1671
0.4984 0.7524 0.9997
0.4987 0.9998 0.4991
0.4989 0.2461 0.9997
0.5004 0.5009 0.4997
0.6672 0.1636 0.8324
0.6672 0.6661 0.8317
0.8324 0.0808 0.6656
0.8342 0.3310 0.1668
0.8342 0.8347 0.1671
0.8353 0.5845 0.6653
0.9994 0.0003 0.4995
0.1089 0.6087 0.2191
0.1118 0.1112 0.2245
0.2180 0.7185 0.4369
0.2249 0.2251 0.4498
0.3329 0.1687 0.6677
0.3353 0.4962 0.6668
0.4433 0.9419 0.8856
0.4446 0.4436 0.8890
0.5543 0.5552 0.1108
0.5560 0.0558 0.1131
0.6653 0.5010 0.3317
0.6652 0.8296 0.3316
0.7751 0.7755 0.5497
0.7811 0.2815 0.5619
0.8878 0.8869 0.7748
0.8908 0.3892 0.7795
0.9983 0.6650 0.9999
0.9991 0.3350 0.9994
```


(3)
The following is a simulated powder diffraction line list of BrO2. It was derived from a cell relaxed with PBE, using Cu Ka.
Peak positions follow from Bragg's law for the DFT cell and can differ from measured ones.

Top 12 peaks for 15° ≤ 2θ ≤ 90°, sorted by position:
d 4.566, I 20
d 4.109, I 76
d 3.741, I 82
d 3.042, I 27
d 3.007, I 100
d 2.960, I 53
d 2.437, I 42
d 2.420, I 20
d 2.268, I 23
d 2.165, I 24
d 1.675, I 18
d 1.579, I 17

Structural model:
```
BrO2
1.0
4.4320 0.0000 0.0000
0.0000 11.2989 0.0000
-0.4812 0.0000 4.9924
Br O
4 8
Direct
0.1566 0.1539 0.3744
0.1566 0.3461 0.8744
0.8434 0.6539 0.1256
0.8434 0.8461 0.6256
0.3626 0.5033 0.4678
0.3626 0.9967 0.9678
0.4559 0.6675 0.0642
0.4559 0.8325 0.5642
0.5441 0.1675 0.4358
0.5441 0.3325 0.9358
0.6374 0.0033 0.0322
0.6374 0.4967 0.5322
```


(4)
The following is a simulated powder diffraction line list of Hf2Cu. It was derived from a cell relaxed with PBE, using Cu Ka.
Peak positions follow from Bragg's law for the DFT cell and can differ from measured ones.

Top 12 peaks for 15° ≤ 2θ ≤ 90°, sorted by position:
d 3.051, I 17
d 2.798, I 7
d 2.416, I 100
d 2.243, I 42
d 1.866, I 10
d 1.750, I 7
d 1.586, I 14
d 1.434, I 18
d 1.428, I 6
d 1.326, I 30
d 1.208, I 10
d 1.158, I 7

Structural model:
```
Hf2Cu
1.0
-1.5858 1.5858 5.5966
1.5858 -1.5858 5.5966
1.5858 1.5858 -5.5966
Hf Cu
2 1
Direct
0.1565 0.1565 0.0000
0.8435 0.8435 0.0000
0.5000 0.5000 0.0000
```


(5)
The following is a simulated powder diffraction line list of CeMg2. It was derived from a cell relaxed with PBE, using Cu Ka.
Peak positions follow from Bragg's law for the DFT cell and can differ from measured ones.

Top 12 peaks for 15° ≤ 2θ ≤ 90°, sorted by position:
d 5.467, I 35
d 5.309, I 17
d 4.861, I 31
d 3.809, I 16
d 3.167, I 23
d 3.151, I 46
d 2.971, I 100
d 2.721, I 26
d 2.710, I 42
d 2.651, I 22
d 1.789, I 15
d 1.782, I 29

Structural model:
```
CeMg2
1.0
3.1669 -5.4487 0.0000
3.1669 5.4487 0.0000
0.0000 0.0000 10.6179
Ce Mg
4 8
Direct
0.1671 0.8329 0.5693
0.1671 0.8329 0.9307
0.8329 0.1671 0.0693
0.8329 0.1671 0.4307
0.1580 0.3291 0.7500
0.3291 0.1580 0.2500
0.3291 0.6709 0.2500
0.5000 0.5000 0.0000
0.5000 0.5000 0.5000
0.6709 0.3291 0.7500
0.6709 0.8420 0.7500
0.8420 0.6709 0.2500
```


(6)
The following is a simulated powder diffraction line list of Dy2PdPt. It was derived from a cell relaxed with PBE, using Cu Ka.
Peak positions follow from Bragg's law for the DFT cell and can differ from measured ones.

Top 12 peaks for 15° ≤ 2θ ≤ 90°, sorted by position:
d 3.151, I 30
d 2.773, I 88
d 2.581, I 57
d 2.481, I 100
d 2.289, I 56
d 2.248, I 90
d 2.143, I 24
d 1.712, I 33
d 1.662, I 27
d 1.564, I 22
d 1.345, I 23
d 1.224, I 17

Structural model:
```
Dy2PdPt
1.0
4.5775 0.0000 0.0000
0.0000 5.5567 0.0000
0.0000 0.0000 6.9699
Dy Pd Pt
4 2 2
Direct
0.0000 0.1070 0.0000
0.0000 0.8930 0.5000
0.5000 0.3858 0.6364
0.5000 0.6142 0.1364
0.0000 0.4051 0.3621
0.0000 0.5949 0.8621
0.5000 0.1011 0.2735
0.5000 0.8989 0.7735
```


(7)
The following is a simulated powder diffraction line list of Ho4MgTi2O10. It was derived from a cell relaxed with PBE, using Cu Ka.
Peak positions follow from Bragg's law for the DFT cell and can differ from measured ones.

Top 12 peaks for 15° ≤ 2θ ≤ 90°, sorted by position:
d 4.989, I 100
d 3.393, I 52
d 2.979, I 66
d 2.819, I 58
d 2.722, I 50
d 2.660, I 31
d 2.590, I 18
d 2.494, I 25
d 2.220, I 23
d 2.200, I 35
d 1.855, I 20
d 1.696, I 26

Structural model:
```
Ho4MgTi2O10
1.0
5.3363 0.0000 0.0000
2.1105 5.9206 0.0000
1.6545 2.1659 6.7869
Ho Mg Ti O
4 1 2 10
Direct
0.0006 0.0480 0.2401
0.1047 0.4424 0.7423
0.8953 0.5576 0.2577
0.9994 0.9520 0.7599
0.5000 0.0000 0.0000
0.5000 0.0000 0.5000
0.5000 0.5000 0.0000
0.0891 0.2163 0.4743
0.1933 0.7815 0.0783
0.2255 0.3088 0.0502
0.3772 0.6709 0.7275
0.4529 0.1240 0.7165
0.5471 0.8760 0.2835
0.6228 0.3291 0.2725
0.7745 0.6912 0.9498
0.8067 0.2185 0.9217
0.9109 0.7837 0.5257
```